Record 1
Starting from DFT lattice parameters and positions (PBE), the powder XRD pattern of NbNOF4 was calculated for copper Kα.
Peak positions follow from Bragg's law for the DFT cell and can differ from measured ones.

```
14
Lattice="8.560 0.000 0.000 0.000 8.560 0.000 0.000 0.000 4.092" Properties=species:S:1:pos:R:3 pbc="T T T"
Nb 2.140 2.140 0.164
Nb 6.420 6.420 3.928
N 2.140 6.420 2.046
N 6.420 2.140 2.046
O 2.140 2.140 2.061
O 6.420 6.420 2.031
F 0.223 2.140 4.013
F 2.140 0.223 4.013
F 2.140 4.057 4.013
F 4.057 2.140 4.013
F 4.503 6.420 0.078
F 6.420 4.503 0.078
F 6.420 8.337 0.078
F 8.337 6.420 0.078
```

Main lines, in order of rising 2θ (10 to 90 degrees two-theta):
two_theta	I (rel.)	hkl
14.64	100	1 1 0
20.75	61	2 0 0
21.72	32	0 0 1
26.29	42	1 1 1
33.10	16	3 1 0
39.93	15	3 1 1
42.23	20	4 0 0
47.98	13	4 0 1

***

Record 2
Starting from DFT lattice parameters and positions (PBE), the powder XRD pattern of Pr3NF6 was calculated for copper Kα.
Peak positions follow from Bragg's law for the DFT cell and can differ from measured ones.

```
10
Lattice="4.027 0.000 0.000 0.035 5.983 0.000 1.785 2.922 6.280" Properties=species:S:1:pos:R:3 pbc="T T T"
Pr 0.000 0.000 0.000
Pr 1.687 3.252 1.934
Pr 3.779 5.995 3.868
N 3.654 4.682 1.936
F 1.710 4.484 4.160
F 1.813 7.304 3.515
F 2.502 6.532 5.971
F 2.012 1.487 0.125
F 3.909 2.344 5.000
F 3.863 1.577 1.896
```

Main lines, in order of rising 2θ (10 to 90 degrees two-theta):
two_theta	I (rel.)	hkl
25.84	100	0 1 -1
26.11	92	0 1 2
26.63	94	1 1 1
26.77	80	1 -1 0
29.87	47	0 2 1
30.20	48	1 0 -1
43.24	72	-1 2 2
50.96	46	1 3 2